Structure and simulated X-ray diffraction stick pattern of RbV3O8 (the GGA+U geometry in Alexandria; CuKα).
Intensities are scaled so that the largest is 100.

The 10 most intense peaks (2θ = 10–90°), in order of rising 2θ:
- d 8.489, I = 8.5
- d 3.713, I = 100.0
- d 2.830, I = 7.9
- d 2.639, I = 29.6
- d 2.612, I = 12.6
- d 2.151, I = 10.7
- d 1.857, I = 9.6
- d 1.667, I = 15.5
- d 1.654, I = 6.8
- d 1.524, I = 8.9

a = 9.019 Å, b = 9.019 Å, c = 9.019 Å
α = 34.03°, β = 34.03°, γ = 34.03°
Atoms (fractional coordinates):
Rb1 0.000 0.000 0.000
V1 0.231 0.231 0.231
V2 0.500 0.500 0.500
V3 0.769 0.769 0.769
O1 0.141 0.713 0.517
O2 0.287 0.483 0.859
O3 0.296 0.296 0.296
O4 0.483 0.859 0.287
O5 0.517 0.141 0.713
O6 0.704 0.704 0.704
O7 0.713 0.517 0.141
O8 0.859 0.287 0.483